Starting from a PBE-relaxed structure, the powder diffraction line list of Ti2InIr was simulated for CuKα.
Neutral-atom scattering factors, no anomalous dispersion.

Top 10 peaks for 15° ≤ 2θ ≤ 90°, in order of rising 2θ:
d = 3.998 Å, 2θ 22.24, rel. 27, (0 0 1)
d = 2.895 Å, 2θ 30.88, rel. 25, (1 1 0)
d = 2.345 Å, 2θ 38.39, rel. 100, (1 1 1)
d = 2.047 Å, 2θ 44.24, rel. 33, (2 0 0)
d = 1.999 Å, 2θ 45.37, rel. 15, (0 0 2)
d = 1.822 Å, 2θ 50.06, rel. 14, (2 0 1)
d = 1.448 Å, 2θ 64.35, rel. 11, (2 2 0)
d = 1.430 Å, 2θ 65.23, rel. 20, (2 0 2)
d = 1.232 Å, 2θ 77.49, rel. 24, (3 1 1)
d = 1.211 Å, 2θ 79.11, rel. 12, (1 1 3)

Structural model:
```
data_Ti2InIr
_chemical_formula_sum 'Ti2 In1 Ir1'
_cell_length_a 4.0946
_cell_length_b 4.0946
_cell_length_c 3.9979
_cell_angle_alpha 90.00
_cell_angle_beta 90.00
_cell_angle_gamma 90.00
_space_group_name_H-M_alt 'P 4/m m m'
_space_group_IT_number 123
_space_group_name_Hall '-P 4 2'
loop_
_atom_site_label
_atom_site_type_symbol
_atom_site_fract_x
_atom_site_fract_y
_atom_site_fract_z
Ti1 Ti 0.0000 0.5000 0.0000
In1 In 0.0000 0.0000 0.5000
Ir1 Ir 0.5000 0.5000 0.5000
```

Starting from a PBE-relaxed structure, the powder diffraction line list of Li6Bi3Sb was simulated for CuKα.
Neutral-atom scattering factors, no anomalous dispersion.

Top 10 peaks for 15° ≤ 2θ ≤ 90°, in order of rising 2θ:
d = 4.064 Å, 2θ 21.87, rel. 100, (1 1 1)
d = 3.941 Å, 2θ 22.56, rel. 50, (0 2 0)
d = 3.173 Å, 2θ 28.12, rel. 27, (2 0 -2)
d = 2.519 Å, 2θ 35.64, rel. 33, (3 1 -1)
d = 2.483 Å, 2θ 36.18, rel. 32, (1 1 -3)
d = 2.471 Å, 2θ 36.35, rel. 31, (2 2 -2)
d = 2.371 Å, 2θ 37.94, rel. 14, (2 0 2)
d = 2.298 Å, 2θ 39.20, rel. 25, (1 3 1)
d = 2.032 Å, 2θ 44.60, rel. 16, (2 2 2)
d = 1.869 Å, 2θ 48.73, rel. 13, (3 3 -1)

Structural model:
```
data_Li6Bi3Sb
_chemical_formula_sum 'Li12 Bi6 Sb2'
_cell_length_a 7.9900
_cell_length_b 7.8812
_cell_length_c 7.8573
_cell_angle_alpha 90.00
_cell_angle_beta 106.46
_cell_angle_gamma 90.00
_space_group_name_H-M_alt 'C 1 2/m 1'
_space_group_IT_number 12
_space_group_name_Hall '-C 2y'
loop_
_atom_site_label
_atom_site_type_symbol
_atom_site_fract_x
_atom_site_fract_y
_atom_site_fract_z
Li1 Li 0.1136 0.1815 0.3561
Li2 Li 0.1237 0.5000 0.8744
Bi1 Bi 0.0000 0.0000 0.0000
Bi2 Bi 0.2357 0.0000 0.7347
Sb1 Sb 0.0000 0.5000 0.5000
```

Starting from a PBE-relaxed structure, the powder diffraction line list of K2Ti3F10 was simulated for CuKα.
Neutral-atom scattering factors, no anomalous dispersion.

Top 10 peaks for 15° ≤ 2θ ≤ 90°, in order of rising 2θ:
d = 5.726 Å, 2θ 15.48, rel. 43, (1 1 0)
d = 3.806 Å, 2θ 23.37, rel. 56, (0 0 2)
d = 3.366 Å, 2θ 26.48, rel. 53, (1 1 -2)
d = 3.343 Å, 2θ 26.67, rel. 65, (3 1 1)
d = 3.324 Å, 2θ 26.82, rel. 44, (3 1 -2)
d = 3.262 Å, 2θ 27.34, rel. 35, (5 1 -1)
d = 3.244 Å, 2θ 27.50, rel. 71, (6 0 -1)
d = 2.366 Å, 2θ 38.03, rel. 56, (0 2 2)
d = 2.210 Å, 2θ 40.82, rel. 100, (6 2 -1)
d = 1.463 Å, 2θ 63.61, rel. 31, (8 2 2)

Structural model:
```
data_K2Ti3F10
_chemical_formula_sum 'K8 Ti12 F40'
_cell_length_a 19.4628
_cell_length_b 6.0409
_cell_length_c 8.2511
_cell_angle_alpha 90.00
_cell_angle_beta 112.68
_cell_angle_gamma 90.00
_space_group_name_H-M_alt 'C 1 2/m 1'
_space_group_IT_number 12
_space_group_name_Hall '-C 2y'
loop_
_atom_site_label
_atom_site_type_symbol
_atom_site_fract_x
_atom_site_fract_y
_atom_site_fract_z
K1 K 0.1134 0.0000 0.2211
K2 K 0.2124 0.0000 0.8389
Ti1 Ti 0.0000 0.2673 0.5000
Ti2 Ti 0.0811 0.5000 0.9838
Ti3 Ti 0.1818 0.5000 0.5165
F1 F 0.0000 0.2877 0.0000
F2 F 0.0193 0.0000 0.6670
F3 F 0.0284 0.5000 0.7077
F4 F 0.1085 0.2615 0.5190
F5 F 0.1316 0.5000 0.2523
F6 F 0.1447 0.2615 0.9830
F7 F 0.2314 0.5000 0.7646
F8 F 0.2500 0.2500 0.5000
```